(1)
Simulated XRD peak list
Compound: KZn6O6
Radiation: CuKα
Structure: a PBE-relaxed structure
Intensities are scaled so that the largest is 100.

Cell and atoms:
abc: 5.780 5.780 5.780
angles: 90.00 90.00 90.00
Element x y z (fractional)
K 0.000 0.000 0.000
Zn 0.000 0.260 0.500
Zn 0.000 0.740 0.500
Zn 0.260 0.500 0.000
Zn 0.500 0.000 0.260
Zn 0.500 0.000 0.740
Zn 0.740 0.500 0.000
O 0.000 0.500 0.242
O 0.000 0.500 0.758
O 0.242 0.000 0.500
O 0.500 0.242 0.000
O 0.500 0.758 0.000
O 0.758 0.000 0.500

Main lines, sorted by position (5° ≤ 2θ ≤ 70°):
d = 4.087 Å, 21.75 deg, I 64; d = 3.337 Å, 26.71 deg, I 5; d = 2.890 Å, 30.94 deg, I 34; d = 2.585 Å, 34.70 deg, I 100; d = 2.360 Å, 38.14 deg, I 72; d = 2.044 Å, 44.33 deg, I 9; d = 1.828 Å, 49.89 deg, I 14; d = 1.669 Å, 55.04 deg, I 39; d = 1.603 Å, 57.49 deg, I 25; d = 1.545 Å, 59.88 deg, I 35; d = 1.445 Å, 64.49 deg, I 23; d = 1.362 Å, 68.93 deg, I 6

=====

(2)
Simulated XRD peak list
Compound: Li2Al2I7
Radiation: CuKα
Structure: a PBE-relaxed structure
Intensities are scaled so that the largest is 100.

Cell and atoms:
abc: 8.269 8.269 14.333
angles: 103.91 103.91 91.28
Element x y z (fractional)
Li 0.081 0.241 0.467
Li 0.241 0.081 0.967
Li 0.759 0.919 0.033
Li 0.919 0.759 0.533
Al 0.016 0.485 0.800
Al 0.485 0.016 0.300
Al 0.515 0.984 0.700
Al 0.984 0.515 0.200
I 0.011 0.202 0.103
I 0.105 0.522 0.641
I 0.202 0.011 0.603
I 0.268 0.732 0.250
I 0.274 0.382 0.907
I 0.382 0.274 0.407
I 0.478 0.895 0.859
I 0.522 0.105 0.141
I 0.618 0.726 0.593
I 0.726 0.618 0.093
I 0.732 0.268 0.750
I 0.798 0.989 0.397
I 0.895 0.478 0.359
I 0.989 0.798 0.897

Main lines, sorted by position (5° ≤ 2θ ≤ 70°):
d = 4.442 Å, 19.99 deg, I 48; d = 3.898 Å, 22.81 deg, I 55; d = 3.654 Å, 24.36 deg, I 95; d = 3.594 Å, 24.77 deg, I 43; d = 3.548 Å, 25.10 deg, I 47; d = 3.469 Å, 25.68 deg, I 100; d = 3.441 Å, 25.89 deg, I 75; d = 3.420 Å, 26.05 deg, I 42; d = 3.365 Å, 26.49 deg, I 26; d = 3.111 Å, 28.70 deg, I 39; d = 2.571 Å, 34.89 deg, I 23; d = 2.310 Å, 38.99 deg, I 46

=====

(3)
Simulated XRD peak list
Compound: Pr2Nd2DyY4
Radiation: CuKα
Structure: a PBE-relaxed structure
Intensities are scaled so that the largest is 100.

Cell and atoms:
abc: 9.664 9.664 9.737
angles: 115.27 115.27 21.81
Element x y z (fractional)
Pr 0.148 0.148 0.164
Pr 0.852 0.852 0.836
Nd 0.335 0.335 0.499
Nd 0.665 0.665 0.501
Dy 0.000 0.000 0.500
Y 0.184 0.184 0.834
Y 0.481 0.481 0.169
Y 0.519 0.519 0.831
Y 0.816 0.816 0.166

Main lines, sorted by position (5° ≤ 2θ ≤ 70°):
d = 3.142 Å, 28.40 deg, I 46; d = 2.923 Å, 30.59 deg, I 48; d = 2.852 Å, 31.37 deg, I 100; d = 2.712 Å, 33.03 deg, I 88; d = 2.280 Å, 39.52 deg, I 18; d = 2.023 Å, 44.80 deg, I 14; d = 1.827 Å, 49.91 deg, I 36; d = 1.705 Å, 53.77 deg, I 22; d = 1.616 Å, 57.00 deg, I 19; d = 1.549 Å, 59.68 deg, I 42; d = 1.539 Å, 60.14 deg, I 15; d = 1.516 Å, 61.12 deg, I 10

=====

(4)
Simulated XRD peak list
Compound: BaCd8SnAu2
Radiation: CuKα
Structure: a PBE-relaxed structure
Intensities are scaled so that the largest is 100.

Cell and atoms:
abc: 5.304 5.304 11.721
angles: 90.74 90.74 70.34
Element x y z (fractional)
Ba 0.000 0.000 0.000
Cd 0.167 0.670 0.714
Cd 0.330 0.833 0.286
Cd 0.347 0.347 0.439
Cd 0.360 0.360 0.921
Cd 0.640 0.640 0.079
Cd 0.653 0.653 0.561
Cd 0.670 0.167 0.714
Cd 0.833 0.330 0.286
Sn 0.000 0.000 0.500
Au 0.321 0.321 0.168
Au 0.679 0.679 0.832

Main lines, sorted by position (5° ≤ 2θ ≤ 70°):
d = 4.580 Å, 19.38 deg, I 43; d = 3.057 Å, 29.21 deg, I 31; d = 2.880 Å, 31.06 deg, I 25; d = 2.709 Å, 33.07 deg, I 47; d = 2.613 Å, 34.32 deg, I 85; d = 2.517 Å, 35.67 deg, I 76; d = 2.446 Å, 36.74 deg, I 100; d = 2.438 Å, 36.87 deg, I 22; d = 2.407 Å, 37.36 deg, I 40; d = 2.305 Å, 39.08 deg, I 30; d = 1.665 Å, 55.17 deg, I 22; d = 1.505 Å, 61.62 deg, I 26

=====

(5)
Simulated XRD peak list
Compound: TcNiAu
Radiation: CuKα
Structure: a PBE-relaxed structure
Intensities are scaled so that the largest is 100.

Cell and atoms:
abc: 2.779 3.721 8.543
angles: 90.00 90.49 90.00
Element x y z (fractional)
Tc 0.200 0.250 0.072
Tc 0.800 0.750 0.928
Ni 0.258 0.250 0.771
Ni 0.742 0.750 0.229
Au 0.252 0.250 0.398
Au 0.748 0.750 0.602

Main lines, sorted by position (5° ≤ 2θ ≤ 70°):
d = 8.543 Å, 10.35 deg, I 27; d = 3.411 Å, 26.12 deg, I 23; d = 2.806 Å, 31.90 deg, I 24; d = 2.320 Å, 38.81 deg, I 10; d = 2.261 Å, 39.86 deg, I 96; d = 2.226 Å, 40.52 deg, I 100; d = 1.997 Å, 45.41 deg, I 34; d = 1.980 Å, 45.82 deg, I 30; d = 1.860 Å, 48.96 deg, I 30; d = 1.389 Å, 67.41 deg, I 10; d = 1.361 Å, 69.00 deg, I 23; d = 1.356 Å, 69.30 deg, I 17

=====

(6)
Simulated XRD peak list
Compound: Al2CrFe3
Radiation: CuKα
Structure: a PBE-relaxed structure
Intensities are scaled so that the largest is 100.

Cell and atoms:
abc: 6.324 6.324 5.696
angles: 90.00 90.00 143.12
Element x y z (fractional)
Al 0.000 0.000 0.000
Al 0.000 0.000 0.500
Al 0.333 0.667 0.000
Al 0.667 0.333 0.000
Cr 0.337 0.663 0.500
Cr 0.663 0.337 0.500
Fe 0.170 0.830 0.262
Fe 0.170 0.830 0.738
Fe 0.500 0.500 0.256
Fe 0.500 0.500 0.744
Fe 0.830 0.170 0.262
Fe 0.830 0.170 0.738

Main lines, sorted by position (5° ≤ 2θ ≤ 70°):
d = 5.999 Å, 14.77 deg, I 1; d = 5.696 Å, 15.56 deg, I 7; d = 3.796 Å, 23.44 deg, I 1; d = 2.848 Å, 31.41 deg, I 4; d = 2.829 Å, 31.63 deg, I 8; d = 2.007 Å, 45.18 deg, I 100; d = 2.000 Å, 45.34 deg, I 50; d = 1.887 Å, 48.22 deg, I 1; d = 1.637 Å, 56.20 deg, I 3; d = 1.576 Å, 58.56 deg, I 2; d = 1.424 Å, 65.55 deg, I 7; d = 1.414 Å, 66.06 deg, I 15

=====

(7)
Simulated XRD peak list
Compound: Ce2Ni3Ge4
Radiation: CuKα
Structure: a PBE-relaxed structure
Intensities are scaled so that the largest is 100.

Cell and atoms:
abc: 7.789 7.789 7.393
angles: 90.00 90.00 137.35
Element x y z (fractional)
Ce 0.112 0.888 0.907
Ce 0.388 0.612 0.407
Ce 0.612 0.388 0.593
Ce 0.888 0.112 0.093
Ni 0.000 0.000 0.500
Ni 0.024 0.476 0.750
Ni 0.476 0.024 0.250
Ni 0.500 0.500 0.000
Ni 0.524 0.976 0.750
Ni 0.976 0.524 0.250
Ge 0.182 0.818 0.519
Ge 0.192 0.308 0.750
Ge 0.308 0.192 0.250
Ge 0.318 0.682 0.019
Ge 0.682 0.318 0.981
Ge 0.692 0.808 0.750
Ge 0.808 0.692 0.250
Ge 0.818 0.182 0.481

Main lines, sorted by position (5° ≤ 2θ ≤ 70°):
d = 3.028 Å, 29.50 deg, I 19; d = 2.607 Å, 34.39 deg, I 38; d = 2.485 Å, 36.14 deg, I 58; d = 2.438 Å, 36.86 deg, I 100; d = 2.333 Å, 38.58 deg, I 53; d = 2.299 Å, 39.19 deg, I 31; d = 2.248 Å, 40.10 deg, I 86; d = 2.233 Å, 40.40 deg, I 39; d = 1.722 Å, 53.17 deg, I 17; d = 1.548 Å, 59.75 deg, I 29; d = 1.474 Å, 63.07 deg, I 23; d = 1.416 Å, 65.96 deg, I 16

=====

(8)
Simulated XRD peak list
Compound: SrAlH5
Radiation: CuKα
Structure: a PBE-relaxed structure
Intensities are scaled so that the largest is 100.

Cell and atoms:
abc: 4.426 5.161 12.571
angles: 90.00 90.00 90.00
Element x y z (fractional)
Sr 0.211 0.143 0.341
Sr 0.289 0.857 0.841
Sr 0.711 0.357 0.659
Sr 0.789 0.643 0.159
Al 0.178 0.130 0.085
Al 0.322 0.870 0.585
Al 0.678 0.370 0.915
Al 0.822 0.630 0.415
H 0.013 0.871 0.496
H 0.019 0.892 0.011
H 0.132 0.635 0.329
H 0.174 0.096 0.671
H 0.193 0.615 0.660
H 0.307 0.385 0.160
H 0.326 0.904 0.171
H 0.368 0.365 0.829
H 0.481 0.108 0.511
H 0.487 0.129 0.996
H 0.513 0.629 0.504
H 0.519 0.608 0.989
H 0.632 0.865 0.671
H 0.674 0.404 0.329
H 0.693 0.885 0.340
H 0.807 0.115 0.840
H 0.826 0.596 0.829
H 0.868 0.135 0.171
H 0.981 0.392 0.489
H 0.987 0.371 0.004

Main lines, sorted by position (5° ≤ 2θ ≤ 70°):
d = 3.989 Å, 22.29 deg, I 13; d = 3.619 Å, 24.60 deg, I 30; d = 3.360 Å, 26.53 deg, I 41; d = 3.248 Å, 27.46 deg, I 100; d = 3.143 Å, 28.40 deg, I 19; d = 2.684 Å, 33.38 deg, I 15; d = 2.562 Å, 35.02 deg, I 29; d = 2.528 Å, 35.51 deg, I 28; d = 2.295 Å, 39.25 deg, I 13; d = 2.013 Å, 45.04 deg, I 13; d = 1.968 Å, 46.12 deg, I 27; d = 1.398 Å, 66.94 deg, I 14

=====

(9)
Simulated XRD peak list
Compound: SmY6Sc4
Radiation: CuKα
Structure: a PBE-relaxed structure
Intensities are scaled so that the largest is 100.

Cell and atoms:
abc: 8.709 8.709 5.282
angles: 90.00 90.00 120.00
Element x y z (fractional)
Sm 0.000 0.000 0.000
Y 0.200 0.399 0.500
Y 0.200 0.800 0.500
Y 0.534 0.067 0.000
Y 0.534 0.466 0.000
Y 0.601 0.800 0.500
Y 0.933 0.466 0.000
Sc 0.333 0.667 0.000
Sc 0.429 0.214 0.500
Sc 0.786 0.214 0.500
Sc 0.786 0.571 0.500

Main lines, sorted by position (5° ≤ 2θ ≤ 70°):
d = 3.360 Å, 26.53 deg, I 18; d = 3.069 Å, 29.09 deg, I 100; d = 2.851 Å, 31.38 deg, I 30; d = 2.641 Å, 33.94 deg, I 28; d = 2.510 Å, 35.77 deg, I 28; d = 2.177 Å, 41.47 deg, I 17; d = 1.945 Å, 46.71 deg, I 12; d = 1.937 Å, 46.90 deg, I 19; d = 1.680 Å, 54.63 deg, I 14; d = 1.645 Å, 55.90 deg, I 15; d = 1.595 Å, 57.79 deg, I 14; d = 1.451 Å, 64.19 deg, I 13

=====

(10)
Simulated XRD peak list
Compound: AcMnCoP2
Radiation: CuKα
Structure: a PBE-relaxed structure
Intensities are scaled so that the largest is 100.

Cell and atoms:
abc: 3.847 3.847 11.523
angles: 90.00 90.00 90.00
Element x y z (fractional)
Ac 0.000 0.000 0.000
Ac 0.500 0.500 0.500
Mn 0.000 0.500 0.750
Mn 0.500 0.000 0.250
Co 0.000 0.500 0.250
Co 0.500 0.000 0.750
P 0.000 0.000 0.347
P 0.000 0.000 0.653
P 0.500 0.500 0.153
P 0.500 0.500 0.847

Main lines, sorted by position (5° ≤ 2θ ≤ 70°):
d = 5.762 Å, 15.38 deg, I 8; d = 3.649 Å, 24.39 deg, I 77; d = 2.881 Å, 31.04 deg, I 27; d = 2.719 Å, 32.95 deg, I 100; d = 2.460 Å, 36.53 deg, I 84; d = 1.977 Å, 45.90 deg, I 22; d = 1.923 Å, 47.26 deg, I 34; d = 1.702 Å, 53.88 deg, I 20; d = 1.600 Å, 57.62 deg, I 19; d = 1.570 Å, 58.83 deg, I 64; d = 1.379 Å, 67.99 deg, I 13; d = 1.360 Å, 69.06 deg, I 13

=====

(11)
Simulated XRD peak list
Compound: Er2HfNi9
Radiation: CuKα
Structure: a PBE-relaxed structure
Intensities are scaled so that the largest is 100.

Cell and atoms:
abc: 4.865 4.865 16.185
angles: 90.00 90.00 120.00
Element x y z (fractional)
Er 0.333 0.667 0.044
Er 0.333 0.667 0.456
Er 0.667 0.333 0.544
Er 0.667 0.333 0.956
Hf 0.333 0.667 0.250
Hf 0.667 0.333 0.750
Ni 0.000 0.000 0.000
Ni 0.000 0.000 0.250
Ni 0.000 0.000 0.500
Ni 0.000 0.000 0.750
Ni 0.167 0.334 0.628
Ni 0.167 0.334 0.872
Ni 0.167 0.833 0.628
Ni 0.167 0.833 0.872
Ni 0.333 0.667 0.750
Ni 0.334 0.167 0.128
Ni 0.334 0.167 0.372
Ni 0.666 0.833 0.628
Ni 0.666 0.833 0.872
Ni 0.667 0.333 0.250
Ni 0.833 0.167 0.128
Ni 0.833 0.167 0.372
Ni 0.833 0.666 0.128
Ni 0.833 0.666 0.372

Main lines, sorted by position (5° ≤ 2θ ≤ 70°):
d = 4.077 Å, 21.80 deg, I 8; d = 2.567 Å, 34.96 deg, I 66; d = 2.433 Å, 36.95 deg, I 43; d = 2.107 Å, 42.93 deg, I 11; d = 2.086 Å, 43.38 deg, I 100; d = 2.025 Å, 44.75 deg, I 17; d = 1.962 Å, 46.27 deg, I 16; d = 1.806 Å, 50.52 deg, I 8; d = 1.429 Å, 65.30 deg, I 21; d = 1.404 Å, 66.59 deg, I 8; d = 1.368 Å, 68.62 deg, I 12; d = 1.348 Å, 69.79 deg, I 12

=====

(12)
Simulated XRD peak list
Compound: Li5SnAu8
Radiation: CuKα
Structure: a PBE-relaxed structure
Intensities are scaled so that the largest is 100.

Cell and atoms:
abc: 6.851 6.851 6.851
angles: 109.84 109.84 108.75
Element x y z (fractional)
Li 0.000 0.000 0.000
Li 0.286 0.192 0.654
Li 0.368 0.714 0.905
Li 0.537 0.632 0.346
Li 0.808 0.463 0.095
Sn 0.750 0.250 0.500
Au 0.010 0.753 0.595
Au 0.097 0.356 0.942
Au 0.159 0.416 0.405
Au 0.247 0.841 0.257
Au 0.414 0.156 0.058
Au 0.584 0.990 0.743
Au 0.644 0.586 0.742
Au 0.844 0.903 0.258

Main lines, sorted by position (5° ≤ 2θ ≤ 70°):
d = 3.991 Å, 22.28 deg, I 14; d = 3.244 Å, 27.50 deg, I 30; d = 3.222 Å, 27.68 deg, I 100; d = 2.803 Å, 31.93 deg, I 14; d = 2.521 Å, 35.62 deg, I 40; d = 2.492 Å, 36.04 deg, I 60; d = 2.123 Å, 42.59 deg, I 37; d = 2.113 Å, 42.80 deg, I 52; d = 2.107 Å, 42.93 deg, I 50; d = 1.611 Å, 57.17 deg, I 23; d = 1.557 Å, 59.35 deg, I 19; d = 1.545 Å, 59.86 deg, I 21